No. 1
# KHg3
Simulated powder X-ray diffraction pattern, Cu Kα (weighted mean of Kα1 and Kα2). Input: a structure optimized by DFT (PBE).

```
KHg3
1.0
5.248 -2.599 0.000
5.248 2.599 0.000
-2.572 0.000 4.527
K Hg
1 3
Direct
0.000 0.000 0.000
0.250 0.250 0.749
0.500 0.500 0.500
0.750 0.750 0.251
```

The 12 most intense peaks (2θ = 5–70°), low angle first:
2θ 19.6, rel. 18
2θ 31.2, rel. 100
2θ 34.5, rel. 39
2θ 39.5, rel. 13
2θ 40.0, rel. 7
2θ 49.6, rel. 14
2θ 53.4, rel. 17
2θ 59.7, rel. 16
2θ 59.8, rel. 16
2θ 65.1, rel. 7
2θ 65.2, rel. 6
2θ 66.5, rel. 12


No. 2
# Ca3I3N
Simulated powder X-ray diffraction pattern, Cu Kα (weighted mean of Kα1 and Kα2). Input: a structure optimized by DFT (PBE).

```
Ca3I3N
1.0
8.754 0.000 0.000
0.000 4.046 0.000
-0.406 0.000 12.157
Ca I N
6 6 2
Direct
0.083 0.250 0.407
0.110 0.250 0.810
0.297 0.750 0.614
0.703 0.250 0.386
0.890 0.750 0.190
0.917 0.750 0.593
0.137 0.250 0.137
0.367 0.750 0.865
0.382 0.750 0.371
0.618 0.250 0.629
0.633 0.250 0.135
0.863 0.750 0.863
0.113 0.250 0.610
0.887 0.750 0.390
```

The 12 most intense peaks (2θ = 5–70°), low angle first:
2θ 24.7, rel. 31
2θ 25.5, rel. 36
2θ 26.5, rel. 44
2θ 29.4, rel. 44
2θ 30.1, rel. 100
2θ 41.3, rel. 16
2θ 42.0, rel. 30
2θ 43.1, rel. 26
2θ 44.8, rel. 18
2θ 49.2, rel. 13
2θ 50.4, rel. 14
2θ 54.5, rel. 16


No. 3
# BaNaNdCl6
Simulated powder X-ray diffraction pattern, Cu Kα (weighted mean of Kα1 and Kα2). Input: a structure optimized by DFT (PBE).

```
BaNaNdCl6
1.0
7.229 0.000 0.000
-3.614 6.260 0.000
0.000 0.000 13.310
Ba Na Nd Cl
2 2 2 12
Direct
0.000 0.000 0.000
0.000 0.000 0.500
0.333 0.667 0.250
0.667 0.333 0.750
0.333 0.667 0.750
0.667 0.333 0.250
0.010 0.359 0.634
0.010 0.650 0.866
0.350 0.359 0.866
0.350 0.990 0.634
0.359 0.010 0.134
0.359 0.350 0.366
0.641 0.650 0.634
0.641 0.990 0.866
0.650 0.010 0.366
0.650 0.641 0.134
0.990 0.350 0.134
0.990 0.641 0.366
```

The 12 most intense peaks (2θ = 5–70°), low angle first:
2θ 15.6, rel. 41
2θ 19.5, rel. 100
2θ 24.6, rel. 33
2θ 28.1, rel. 31
2θ 31.6, rel. 28
2θ 36.7, rel. 72
2θ 40.5, rel. 31
2θ 43.3, rel. 50
2θ 50.4, rel. 12
2θ 54.6, rel. 13
2θ 56.9, rel. 14
2θ 58.1, rel. 17


No. 4
# Na6Hg3O
Simulated powder X-ray diffraction pattern, Cu Kα (weighted mean of Kα1 and Kα2). Input: a structure optimized by DFT (PBE).

```
Na6Hg3O
1.0
6.601 0.000 0.000
0.000 8.227 0.000
-4.455 0.000 9.808
Na Hg O
12 6 2
Direct
0.090 0.051 0.225
0.090 0.449 0.725
0.183 0.745 0.554
0.183 0.755 0.054
0.317 0.135 0.019
0.317 0.365 0.519
0.683 0.635 0.481
0.683 0.865 0.981
0.817 0.245 0.946
0.817 0.255 0.446
0.910 0.551 0.275
0.910 0.949 0.775
0.337 0.078 0.719
0.337 0.422 0.219
0.500 0.000 0.500
0.500 0.500 0.000
0.663 0.578 0.781
0.663 0.922 0.281
0.000 0.000 0.000
0.000 0.500 0.500
```

The 12 most intense peaks (2θ = 5–70°), low angle first:
2θ 14.1, rel. 49
2θ 14.7, rel. 61
2θ 21.6, rel. 40
2θ 23.0, rel. 100
2θ 23.5, rel. 31
2θ 26.3, rel. 22
2θ 27.3, rel. 26
2θ 32.9, rel. 58
2θ 33.3, rel. 40
2θ 36.0, rel. 23
2θ 36.4, rel. 38
2θ 43.5, rel. 21


No. 5
# Tb8TmSc5
Simulated powder X-ray diffraction pattern, Cu Kα (weighted mean of Kα1 and Kα2). Input: a structure optimized by DFT (PBE).

```
Tb8TmSc5
1.0
7.988 0.000 0.000
-3.592 7.455 0.000
-1.038 -4.252 7.043
Tb Tm Sc
8 1 5
Direct
0.000 0.000 0.000
0.016 0.641 0.122
0.078 0.295 0.442
0.290 0.813 0.857
0.421 0.481 0.264
0.488 0.298 0.858
0.620 0.988 0.626
0.941 0.813 0.520
0.555 0.604 0.706
0.121 0.344 0.847
0.386 0.118 0.365
0.645 0.835 0.178
0.725 0.242 0.158
0.829 0.437 0.651
```

The 12 most intense peaks (2θ = 5–70°), low angle first:
2θ 21.8, rel. 24
2θ 26.3, rel. 28
2θ 26.6, rel. 29
2θ 27.1, rel. 39
2θ 32.0, rel. 77
2θ 32.2, rel. 72
2θ 32.8, rel. 62
2θ 33.3, rel. 24
2θ 33.8, rel. 100
2θ 34.8, rel. 34
2θ 35.9, rel. 28
2θ 44.6, rel. 28


No. 6
# HgMo2As
Simulated powder X-ray diffraction pattern, Cu Kα (weighted mean of Kα1 and Kα2). Input: a structure optimized by DFT (PBE).

```
HgMo2As
1.0
3.176 0.000 0.000
0.000 3.939 0.000
-1.538 0.000 5.761
Hg Mo As
1 2 1
Direct
0.000 0.000 0.000
0.437 0.500 0.695
0.563 0.500 0.305
0.000 0.000 0.500
```

The 12 most intense peaks (2θ = 5–70°), low angle first:
2θ 27.4, rel. 37
2θ 36.6, rel. 16
2θ 36.9, rel. 53
2θ 37.1, rel. 100
2θ 38.7, rel. 78
2θ 46.1, rel. 29
2θ 48.6, rel. 15
2θ 60.4, rel. 25
2θ 65.5, rel. 20
2θ 68.2, rel. 15
2θ 68.7, rel. 12
2θ 69.2, rel. 10


No. 7
# Li8PrCu4
Simulated powder X-ray diffraction pattern, Cu Kα (weighted mean of Kα1 and Kα2). Input: a structure optimized by DFT (PBE).

```
Li8PrCu4
1.0
-4.573 4.573 2.553
4.573 -4.573 2.553
4.573 4.573 -2.553
Li Pr Cu
8 1 4
Direct
0.000 0.228 0.228
0.000 0.772 0.772
0.151 0.500 0.651
0.228 0.000 0.228
0.500 0.151 0.651
0.500 0.849 0.349
0.772 0.000 0.772
0.849 0.500 0.349
0.500 0.500 0.000
0.000 0.000 0.500
0.000 0.500 0.000
0.500 0.000 0.000
0.500 0.500 0.500
```

The 12 most intense peaks (2θ = 5–70°), low angle first:
2θ 13.7, rel. 57
2θ 19.4, rel. 25
2θ 19.9, rel. 51
2θ 27.6, rel. 100
2θ 28.0, rel. 49
2θ 30.9, rel. 20
2θ 34.3, rel. 18
2θ 39.4, rel. 48
2θ 39.7, rel. 26
2θ 40.5, rel. 83
2θ 57.8, rel. 51
2θ 64.4, rel. 18


No. 8
# TlB
Simulated powder X-ray diffraction pattern, Cu Kα (weighted mean of Kα1 and Kα2). Input: a structure optimized by DFT (PBE).

```
TlB
1.0
10.778 0.000 0.000
0.000 10.778 0.000
0.000 0.000 3.173
Tl B
8 8
Direct
0.049 0.778 0.000
0.161 0.432 0.500
0.222 0.049 0.000
0.432 0.839 0.500
0.568 0.161 0.500
0.778 0.951 0.000
0.839 0.568 0.500
0.951 0.222 0.000
0.258 0.660 0.500
0.261 0.659 0.000
0.340 0.258 0.500
0.341 0.261 0.000
0.659 0.739 0.000
0.660 0.742 0.500
0.739 0.341 0.000
0.742 0.340 0.500
```

The 12 most intense peaks (2θ = 5–70°), low angle first:
2θ 8.2, rel. 66
2θ 11.6, rel. 27
2θ 23.3, rel. 58
2θ 26.1, rel. 68
2θ 29.3, rel. 37
2θ 29.9, rel. 91
2θ 30.5, rel. 25
2θ 33.8, rel. 100
2θ 42.8, rel. 28
2θ 44.9, rel. 29
2θ 47.4, rel. 47
2θ 57.7, rel. 34


No. 9
# RbLa2AlO5
Simulated powder X-ray diffraction pattern, Cu Kα (weighted mean of Kα1 and Kα2). Input: a structure optimized by DFT (PBE).

```
RbLa2AlO5
1.0
-3.513 3.513 5.603
3.513 -3.513 5.603
3.513 3.513 -5.603
Rb La Al O
2 4 2 10
Direct
0.250 0.250 0.000
0.750 0.750 0.000
0.187 0.687 0.873
0.313 0.187 0.500
0.687 0.813 0.500
0.813 0.313 0.127
0.250 0.750 0.500
0.750 0.250 0.500
0.000 0.000 0.000
0.008 0.770 0.500
0.230 0.730 0.238
0.270 0.508 0.500
0.492 0.992 0.762
0.500 0.500 0.000
0.508 0.008 0.238
0.730 0.492 0.500
0.770 0.270 0.762
0.992 0.230 0.500
```

The 12 most intense peaks (2θ = 5–70°), low angle first:
2θ 15.8, rel. 38
2θ 29.5, rel. 55
2θ 30.0, rel. 100
2θ 31.9, rel. 30
2θ 36.2, rel. 26
2θ 37.4, rel. 66
2θ 40.6, rel. 23
2θ 49.0, rel. 21
2θ 50.0, rel. 22
2θ 54.5, rel. 28
2θ 55.7, rel. 18
2θ 59.6, rel. 23


No. 10
# MgCd4Hg8
Simulated powder X-ray diffraction pattern, Cu Kα (weighted mean of Kα1 and Kα2). Input: a structure optimized by DFT (PBE).

```
MgCd4Hg8
1.0
10.257 -1.581 0.000
10.257 1.581 0.000
-9.591 0.000 10.349
Mg Cd Hg
1 4 8
Direct
0.000 0.000 0.000
0.168 0.168 0.703
0.307 0.307 0.325
0.659 0.659 0.086
0.808 0.808 0.718
0.273 0.273 0.498
0.367 0.367 0.974
0.382 0.382 0.202
0.582 0.582 0.449
0.592 0.592 0.245
0.689 0.689 0.912
0.973 0.973 0.549
0.987 0.987 0.779
```

The 12 most intense peaks (2θ = 5–70°), low angle first:
2θ 28.1, rel. 58
2θ 30.3, rel. 73
2θ 30.4, rel. 91
2θ 31.3, rel. 100
2θ 32.3, rel. 51
2θ 33.5, rel. 72
2θ 34.2, rel. 46
2θ 36.4, rel. 62
2θ 37.7, rel. 44
2θ 38.7, rel. 55
2θ 43.0, rel. 41
2θ 49.3, rel. 48